Entry 1:
Diffraction record for CdInCu3. The X-ray powder pattern is simulated, not measured: it uses a structure optimized by DFT (GGA-PBE) and Cu Kα (λ = 1.5418 Å).
Kinematic intensities with the Lorentz-polarization factor, no thermal factor.

Crystal structure
Cell: 7.455 7.455 7.455 Å, 41.48 41.48 41.48°
Element x y z (fractional)
Cd 0.168 0.168 0.168
Cd 0.832 0.832 0.832
In 0.412 0.412 0.412
In 0.588 0.588 0.588
Cu 0.115 0.115 0.617
Cu 0.115 0.617 0.115
Cu 0.383 0.885 0.885
Cu 0.617 0.115 0.115
Cu 0.885 0.383 0.885
Cu 0.885 0.885 0.383

Peak list (10 most intense, 10° ≤ 2θ ≤ 90°, by angle)
2θ/deg	I (rel.)
29.33	33
33.96	48
36.53	100
39.71	93
40.49	28
43.37	97
45.48	97
65.25	51
71.48	36
85.03	32

Entry 2:
Diffraction record for CdInCu5. The X-ray powder pattern is simulated, not measured: it uses a structure optimized by DFT (GGA-PBE) and Cu Kα (λ = 1.5418 Å).
Kinematic intensities with the Lorentz-polarization factor, no thermal factor.

Crystal structure
Cell: 7.939 5.035 10.657 Å, 90.00 90.00 90.00°
Element x y z (fractional)
Cd 0.243 0.250 0.055
Cd 0.257 0.750 0.555
Cd 0.743 0.250 0.445
Cd 0.757 0.750 0.945
In 0.125 0.250 0.360
In 0.375 0.750 0.860
In 0.625 0.250 0.140
In 0.875 0.750 0.640
Cu 0.063 0.250 0.606
Cu 0.064 0.503 0.820
Cu 0.064 0.997 0.820
Cu 0.105 0.750 0.021
Cu 0.188 0.750 0.248
Cu 0.312 0.250 0.748
Cu 0.395 0.250 0.521
Cu 0.436 0.003 0.320
Cu 0.436 0.497 0.320
Cu 0.437 0.750 0.106
Cu 0.563 0.250 0.894
Cu 0.564 0.503 0.680
Cu 0.564 0.997 0.680
Cu 0.605 0.750 0.479
Cu 0.688 0.750 0.252
Cu 0.812 0.250 0.752
Cu 0.895 0.250 0.979
Cu 0.936 0.003 0.180
Cu 0.936 0.497 0.180
Cu 0.937 0.750 0.394

Peak list (10 most intense, 10° ≤ 2θ ≤ 90°, by angle)
2θ/deg	I (rel.)
32.85	24
35.54	46
35.67	40
38.43	70
39.39	100
42.55	30
43.40	44
43.99	27
44.75	60
45.62	66

Entry 3:
Diffraction record for CdInCu. The X-ray powder pattern is simulated, not measured: it uses a structure optimized by DFT (GGA-PBE) and Cu Kα (λ = 1.5418 Å).
Kinematic intensities with the Lorentz-polarization factor, no thermal factor.

Crystal structure
Cell: 6.824 5.626 5.277 Å, 77.42 53.58 49.00°
Element x y z (fractional)
Cd 0.164 0.836 0.164
Cd 0.836 0.164 0.836
In 0.344 0.344 0.656
In 0.656 0.656 0.344
Cu 0.250 0.250 0.250
Cu 0.750 0.750 0.750

Peak list (10 most intense, 10° ≤ 2θ ≤ 90°, by angle)
2θ/deg	I (rel.)
33.49	89
35.22	100
39.74	18
40.49	15
40.92	36
43.08	23
44.49	37
59.99	17
66.11	18
66.96	16

Entry 4:
Diffraction record for Cd2InCuSe4. The X-ray powder pattern is simulated, not measured: it uses a structure optimized by DFT (GGA-PBE) and Cu Kα (λ = 1.5418 Å).
Kinematic intensities with the Lorentz-polarization factor, no thermal factor.

Crystal structure
Cell: 8.208 8.208 7.386 Å, 116.73 116.73 30.14°
Element x y z (fractional)
Cd 0.000 0.000 0.000
Cd 0.503 0.503 0.532
In 0.748 0.748 0.082
Cu 0.248 0.248 0.608
Se 0.193 0.193 0.228
Se 0.423 0.423 0.773
Se 0.694 0.694 0.686
Se 0.937 0.937 0.282

Peak list (10 most intense, 10° ≤ 2θ ≤ 90°, by angle)
2θ/deg	I (rel.)
24.09	100
25.40	58
27.28	71
35.29	40
42.37	84
45.94	73
50.05	50
64.26	30
72.02	20
80.05	18

Entry 5:
Diffraction record for Sr2Cd6InCu. The X-ray powder pattern is simulated, not measured: it uses a structure optimized by DFT (GGA-PBE) and Cu Kα (λ = 1.5418 Å).
Kinematic intensities with the Lorentz-polarization factor, no thermal factor.

Crystal structure
Cell: 7.811 9.774 7.295 Å, 90.00 90.00 90.00°
Element x y z (fractional)
Sr 0.250 0.030 0.221
Sr 0.250 0.470 0.221
Sr 0.750 0.530 0.779
Sr 0.750 0.970 0.779
Cd 0.059 0.250 0.871
Cd 0.067 0.750 0.530
Cd 0.250 0.002 0.705
Cd 0.250 0.498 0.705
Cd 0.433 0.750 0.530
Cd 0.441 0.250 0.871
Cd 0.559 0.750 0.129
Cd 0.567 0.250 0.470
Cd 0.750 0.502 0.295
Cd 0.750 0.998 0.295
Cd 0.933 0.250 0.470
Cd 0.941 0.750 0.129
In 0.250 0.750 0.918
In 0.750 0.250 0.082
Cu 0.250 0.250 0.555
Cu 0.750 0.750 0.445

Peak list (10 most intense, 10° ≤ 2θ ≤ 90°, by angle)
2θ/deg	I (rel.)
16.63	42
29.27	72
30.58	100
32.71	30
34.89	47
36.78	69
37.82	68
38.47	26
43.88	26
46.34	41

Entry 6:
Diffraction record for CdCuIrO4. The X-ray powder pattern is simulated, not measured: it uses a structure optimized by DFT (GGA-PBE) and Cu Kα (λ = 1.5418 Å).
Kinematic intensities with the Lorentz-polarization factor, no thermal factor.

Crystal structure
Cell: 6.453 6.453 6.453 Å, 125.63 120.88 84.50°
Element x y z (fractional)
Cd 0.418 0.168 0.250
Cd 0.582 0.832 0.750
Cu 0.000 0.000 0.500
Cu 0.000 0.500 0.000
Ir 0.000 0.500 0.500
Ir 0.500 0.500 0.000
O 0.158 0.708 0.451
O 0.243 0.292 0.951
O 0.273 0.312 0.539
O 0.273 0.734 0.961
O 0.727 0.266 0.039
O 0.727 0.688 0.461
O 0.757 0.708 0.049
O 0.842 0.292 0.549

Peak list (10 most intense, 10° ≤ 2θ ≤ 90°, by angle)
2θ/deg	I (rel.)
17.68	88
27.83	28
30.32	30
31.94	77
33.33	100
33.84	55
34.83	36
55.81	28
57.49	41
58.48	24

Entry 7:
Diffraction record for KScCdCu2. The X-ray powder pattern is simulated, not measured: it uses a structure optimized by DFT (GGA-PBE) and Cu Kα (λ = 1.5418 Å).
Kinematic intensities with the Lorentz-polarization factor, no thermal factor.

Crystal structure
Cell: 5.005 5.005 5.532 Å, 90.00 90.00 90.00°
Element x y z (fractional)
K 0.000 0.000 0.000
Sc 0.500 0.500 0.000
Cd 0.000 0.000 0.500
Cu 0.000 0.500 0.500
Cu 0.500 0.000 0.500

Peak list (10 most intense, 10° ≤ 2θ ≤ 90°, by angle)
2θ/deg	I (rel.)
16.02	85
17.72	63
23.98	70
29.97	35
32.37	67
35.89	100
39.53	38
49.10	78
51.66	33
62.29	36

Entry 8:
Diffraction record for KCdCuTe2. The X-ray powder pattern is simulated, not measured: it uses a structure optimized by DFT (GGA-PBE) and Cu Kα (λ = 1.5418 Å).
Kinematic intensities with the Lorentz-polarization factor, no thermal factor.

Crystal structure
Cell: 7.756 6.003 7.715 Å, 90.00 104.94 90.00°
Element x y z (fractional)
K 0.000 0.220 0.250
K 0.000 0.780 0.750
Cd 0.500 0.486 0.250
Cd 0.500 0.514 0.750
Cu 0.500 0.000 0.000
Cu 0.500 0.000 0.500
Te 0.265 0.281 0.934
Te 0.265 0.719 0.434
Te 0.735 0.281 0.566
Te 0.735 0.719 0.066

Peak list (10 most intense, 10° ≤ 2θ ≤ 90°, by angle)
2θ/deg	I (rel.)
11.81	98
20.70	69
24.01	100
28.04	58
32.13	28
33.02	39
38.43	89
39.24	31
40.86	32
48.61	30

Entry 9:
Diffraction record for La2CdCu3. The X-ray powder pattern is simulated, not measured: it uses a structure optimized by DFT (GGA-PBE) and Cu Kα (λ = 1.5418 Å).
Kinematic intensities with the Lorentz-polarization factor, no thermal factor.

Crystal structure
Cell: 8.900 8.900 8.900 Å, 153.70 153.50 37.68°
Element x y z (fractional)
La 0.000 0.000 0.000
La 0.776 0.276 0.500
Cd 0.604 0.604 0.000
Cu 0.203 0.703 0.500
Cu 0.351 0.851 0.500
Cu 0.435 0.435 0.000

Peak list (10 most intense, 10° ≤ 2θ ≤ 90°, by angle)
2θ/deg	I (rel.)
27.15	27
32.93	100
34.52	48
34.63	15
43.74	33
44.41	20
44.75	19
57.72	21
64.10	22
64.88	12

Entry 10:
Diffraction record for LaCdCu. The X-ray powder pattern is simulated, not measured: it uses a structure optimized by DFT (GGA-PBE) and Cu Kα (λ = 1.5418 Å).
Kinematic intensities with the Lorentz-polarization factor, no thermal factor.

Crystal structure
Cell: 3.628 8.391 4.755 Å, 90.00 90.00 90.00°
Element x y z (fractional)
La 0.000 0.210 0.000
La 0.000 0.790 0.500
Cd 0.500 0.407 0.500
Cd 0.500 0.593 0.000
Cu 0.500 0.077 0.501
Cu 0.500 0.923 0.001

Peak list (10 most intense, 10° ≤ 2θ ≤ 90°, by angle)
2θ/deg	I (rel.)
28.37	19
32.63	41
32.83	100
37.30	54
37.84	34
50.27	23
50.81	23
64.25	24
64.60	21
65.18	13

Entry 11:
Diffraction record for LaCdCu. The X-ray powder pattern is simulated, not measured: it uses a structure optimized by DFT (GGA-PBE) and Cu Kα (λ = 1.5418 Å).
Kinematic intensities with the Lorentz-polarization factor, no thermal factor.

Crystal structure
Cell: 4.762 4.762 3.704 Å, 90.00 90.00 120.00°
Element x y z (fractional)
La 0.000 0.000 0.000
Cd 0.667 0.333 0.500
Cu 0.333 0.667 0.500

Peak list (10 most intense, 10° ≤ 2θ ≤ 90°, by angle)
2θ/deg	I (rel.)
21.55	9
32.49	100
37.79	63
49.20	10
50.67	28
63.66	26
64.91	26
68.23	11
88.61	11
89.73	11

Entry 12:
Diffraction record for La2CdCu2Pt5. The X-ray powder pattern is simulated, not measured: it uses a structure optimized by DFT (GGA-PBE) and Cu Kα (λ = 1.5418 Å).
Kinematic intensities with the Lorentz-polarization factor, no thermal factor.

Crystal structure
Cell: 9.624 9.624 4.002 Å, 90.00 90.00 90.00°
Element x y z (fractional)
La 0.178 0.322 0.000
La 0.322 0.822 0.000
La 0.678 0.178 0.000
La 0.822 0.678 0.000
Cd 0.000 0.000 0.000
Cd 0.500 0.500 0.000
Cu 0.119 0.619 0.000
Cu 0.381 0.119 0.000
Cu 0.619 0.881 0.000
Cu 0.881 0.381 0.000
Pt 0.000 0.500 0.500
Pt 0.067 0.789 0.500
Pt 0.211 0.067 0.500
Pt 0.289 0.567 0.500
Pt 0.433 0.289 0.500
Pt 0.500 0.000 0.500
Pt 0.567 0.711 0.500
Pt 0.711 0.433 0.500
Pt 0.789 0.933 0.500
Pt 0.933 0.211 0.500

Peak list (10 most intense, 10° ≤ 2θ ≤ 90°, by angle)
2θ/deg	I (rel.)
22.21	17
30.50	32
34.60	29
37.11	100
38.57	53
40.63	47
41.98	20
45.32	33
60.99	28
73.50	16

Entry 13:
Diffraction record for Li12Cd2Cu. The X-ray powder pattern is simulated, not measured: it uses a structure optimized by DFT (GGA-PBE) and Cu Kα (λ = 1.5418 Å).
Kinematic intensities with the Lorentz-polarization factor, no thermal factor.

Crystal structure
Cell: 5.548 5.548 19.203 Å, 90.00 90.00 90.00°
Element x y z (fractional)
Li 0.000 0.000 0.082
Li 0.000 0.000 0.918
Li 0.000 0.500 0.082
Li 0.000 0.500 0.918
Li 0.071 0.571 0.435
Li 0.071 0.929 0.565
Li 0.250 0.250 0.202
Li 0.250 0.250 0.334
Li 0.250 0.250 0.666
Li 0.250 0.250 0.798
Li 0.429 0.571 0.565
Li 0.429 0.929 0.435
Li 0.500 0.000 0.082
Li 0.500 0.000 0.918
Li 0.500 0.500 0.082
Li 0.500 0.500 0.918
Li 0.571 0.071 0.565
Li 0.571 0.429 0.435
Li 0.750 0.750 0.202
Li 0.750 0.750 0.334
Li 0.750 0.750 0.666
Li 0.750 0.750 0.798
Li 0.929 0.071 0.435
Li 0.929 0.429 0.565
Cd 0.250 0.750 0.285
Cd 0.250 0.750 0.715
Cd 0.750 0.250 0.285
Cd 0.750 0.250 0.715
Cu 0.250 0.750 0.000
Cu 0.750 0.250 0.000

Peak list (10 most intense, 10° ≤ 2θ ≤ 90°, by angle)
2θ/deg	I (rel.)
13.83	81
18.48	42
22.67	100
26.65	71
29.40	63
32.27	42
32.64	39
35.26	37
37.44	35
40.11	64